[1]
Structure and simulated X-ray powder pattern of Al4Ni15Sb (a GGA-PBE-relaxed structure; λ = 1.5418 Å (Cu Kα)).
Peak positions follow from Bragg's law for the DFT cell and can differ from measured ones.

Cell and atoms:
abc: 3.600 3.600 17.863
angles: 90.00 90.00 90.00
Space group P4/mmm (No. 123)
Asymmetric unit:
Al  0.000  0.000  0.099
Al  0.000  0.000  0.295
Ni  0.000  0.500  0.000
Ni  0.000  0.500  0.197
Ni  0.000  0.500  0.394
Ni  0.500  0.500  0.099
Ni  0.500  0.500  0.296
Ni  0.500  0.500  0.500
Sb  0.000  0.000  0.500

Main lines, in order of rising 2θ (2θ from 10° to 90°):
Position (°2θ), I (rel.), hkl
14.88, 2, 0 0 3
25.24, 3, 1 0 1
26.70, 2, 1 0 2
28.98, 2, 1 0 3
40.80, 2, 1 1 4
43.66, 100, 1 1 5
50.72, 32, 2 0 0
51.14, 15, 0 0 10
74.56, 9, 2 2 0
74.90, 17, 2 0 10



[2]
Structure and simulated X-ray powder pattern of AsS (a GGA-PBE-relaxed structure; λ = 1.5418 Å (Cu Kα)).
Peak positions follow from Bragg's law for the DFT cell and can differ from measured ones.

Cell and atoms:
abc: 8.457 10.318 19.362
angles: 92.13 91.60 107.01
Space group P1 (No. 1)
Asymmetric unit:
As  0.000  0.000  0.000
As  0.001  0.344  0.715
As  0.016  0.860  0.794
As  0.206  0.679  0.489
As  0.240  0.205  0.031
As  0.299  0.282  0.514
As  0.311  0.803  0.980
As  0.461  0.128  0.229
As  0.489  0.642  0.291
As  0.538  0.495  0.498
As  0.546  0.013  0.336
As  0.564  0.505  0.186
As  0.565  0.992  0.023
As  0.574  0.975  0.156
As  0.585  0.483  0.365
As  0.711  0.329  0.229
As  0.727  0.855  0.288
As  0.753  0.146  0.727
As  0.774  0.657  0.774
As  0.911  0.501  0.638
As  0.921  0.018  0.873
As  0.923  0.477  0.820
As  0.926  0.973  0.688
As  0.967  0.472  0.510
S  0.042  0.291  0.478
S  0.078  0.823  0.031
S  0.151  0.789  0.588
S  0.161  0.121  0.677
S  0.161  0.667  0.667
S  0.165  0.186  0.851
S  0.171  0.595  0.844
S  0.184  0.313  0.937
S  0.310  0.390  0.171
S  0.319  0.849  0.336
S  0.320  0.332  0.339
S  0.334  0.189  0.407
S  0.335  0.797  0.159
S  0.368  0.688  0.073
S  0.455  0.667  0.537
S  0.494  0.178  0.987
S  0.589  0.120  0.629
S  0.596  0.639  0.861
S  0.653  0.271  0.566
S  0.672  0.767  0.943
S  0.698  0.341  0.035
S  0.799  0.281  0.119
S  0.857  0.698  0.430
S  0.889  0.870  0.385

Main lines, in order of rising 2θ (2θ from 10° to 90°):
Position (°2θ), I (rel.), hkl
10.27, 30, 0 1 1
11.70, 100, 1 0 -1
12.04, 91, 1 0 1
14.00, 24, 1 0 -2
15.07, 27, -1 1 2
24.00, 40, 2 -2 0
25.99, 23, 1 -1 5
27.73, 27, -2 2 3
32.60, 33, 2 2 -1
36.97, 25, -2 2 6



[3]
Structure and simulated X-ray powder pattern of ErH3 (a GGA-PBE-relaxed structure; λ = 1.5418 Å (Cu Kα)).
Peak positions follow from Bragg's law for the DFT cell and can differ from measured ones.

Cell and atoms:
abc: 6.2444 6.2444 6.5392
angles: 90.00 90.00 120.00
Space group P-3c1 (No. 165)
Asymmetric unit:
Er  0.0000  0.3374  0.2500
H  0.0000  0.0000  0.2500
H  0.0294  0.3511  0.9081
H  0.3333  0.6667  0.1851

Main lines, in order of rising 2θ (2θ from 10° to 90°):
Position (°2θ), I (rel.), hkl
27.28, 34, 0 0 2
28.59, 22, 1 1 0
31.76, 100, 1 1 1
39.93, 18, 1 1 2
50.64, 19, 3 0 0
51.11, 28, 1 1 3
58.47, 24, 3 0 2
61.02, 16, 2 2 1
79.08, 10, 3 0 4
83.18, 13, 4 1 1



[4]
Structure and simulated X-ray powder pattern of TiCoSi (a GGA-PBE-relaxed structure; λ = 1.5418 Å (Cu Kα)).
Peak positions follow from Bragg's law for the DFT cell and can differ from measured ones.

Cell and atoms:
abc: 6.0254 6.0254 3.7108
angles: 90.00 90.00 120.00
Space group P-62m (No. 189)
Asymmetric unit:
Ti  0.0000  0.4357  0.0000
Co  0.0000  0.7571  0.5000
Si  0.0000  0.0000  0.0000
Si  0.3333  0.6667  0.5000

Main lines, in order of rising 2θ (2θ from 10° to 90°):
Position (°2θ), I (rel.), hkl
29.54, 13, 1 0 1
38.49, 92, 1 1 1
42.35, 100, 2 0 1
46.02, 65, 2 1 0
49.10, 34, 0 0 2
52.57, 38, 3 0 0
69.57, 34, 2 1 2
69.75, 13, 3 1 1
85.18, 25, 3 2 1
87.22, 11, 2 0 3



[5]
Structure and simulated X-ray powder pattern of Ti4MnBi2 (a GGA-PBE-relaxed structure; λ = 1.5418 Å (Cu Kα)).
Peak positions follow from Bragg's law for the DFT cell and can differ from measured ones.

Cell and atoms:
abc: 10.547 10.547 4.974
angles: 90.00 90.00 90.00
Space group I4/mcm (No. 140)
Asymmetric unit:
Ti  0.080  0.192  0.000
Mn  0.000  0.000  0.250
Bi  0.139  0.361  0.500

Main lines, in order of rising 2θ (2θ from 10° to 90°):
Position (°2θ), I (rel.), hkl
26.03, 100, 2 1 1
26.73, 30, 3 1 0
34.00, 24, 4 0 0
35.60, 60, 3 2 1
36.12, 34, 0 0 2
38.15, 14, 1 1 2
39.62, 25, 4 1 1
50.05, 27, 5 2 1
50.44, 27, 4 0 2
52.01, 18, 3 3 2



[6]
Structure and simulated X-ray powder pattern of ThB4Ru4 (a GGA-PBE-relaxed structure; λ = 1.5418 Å (Cu Kα)).
Peak positions follow from Bragg's law for the DFT cell and can differ from measured ones.

Cell and atoms:
abc: 7.576 7.576 15.241
angles: 90.00 90.00 90.00
Space group I4_1/acd (No. 142, origin choice 2)
Asymmetric unit:
Th  0.000  0.250  0.125
B  0.146  0.083  0.293
Ru  0.114  0.105  0.436

Main lines, in order of rising 2θ (2θ from 10° to 90°):
Position (°2θ), I (rel.), hkl
23.35, 15, 0 0 4
23.48, 21, 2 0 0
31.74, 40, 2 1 3
33.35, 28, 2 0 4
39.25, 45, 1 1 6
39.43, 100, 3 1 2
39.78, 25, 2 1 5
54.11, 16, 4 2 0
63.83, 17, 5 1 2
70.05, 23, 4 0 8



[7]
Structure and simulated X-ray powder pattern of HfMg6Zn (a GGA-PBE-relaxed structure; λ = 1.5418 Å (Cu Kα)).
Peak positions follow from Bragg's law for the DFT cell and can differ from measured ones.

Cell and atoms:
abc: 4.933 6.264 11.056
angles: 90.00 90.00 90.00
Space group Amm2 (No. 38)
Asymmetric unit:
Hf  0.000  0.000  0.000
Mg  0.000  0.000  0.490
Mg  0.000  0.245  0.243
Mg  0.500  0.000  0.655
Mg  0.500  0.247  0.907
Zn  0.500  0.000  0.141

Main lines, in order of rising 2θ (2θ from 10° to 90°):
Position (°2θ), I (rel.), hkl
16.03, 36, 0 0 2
16.26, 100, 0 1 1
24.18, 30, 1 0 2
24.34, 34, 1 1 1
32.87, 33, 0 2 2
33.56, 37, 1 1 3
36.42, 33, 2 0 0
37.29, 55, 1 0 4
37.71, 82, 1 2 2
40.10, 29, 2 1 1



[8]
Structure and simulated X-ray powder pattern of Lu2Fe17 (a GGA-PBE-relaxed structure; λ = 1.5418 Å (Cu Kα)).
Peak positions follow from Bragg's law for the DFT cell and can differ from measured ones.

Cell and atoms:
abc: 8.3261 8.3261 8.2874
angles: 90.00 90.00 120.00
Space group P6_3/mmc (No. 194)
Asymmetric unit:
Lu  0.0000  0.0000  0.2500
Lu  0.3333  0.6667  0.2500
Fe  0.0000  0.5000  0.0000
Fe  0.0314  0.3607  0.7500
Fe  0.1655  0.3309  0.0128
Fe  0.3333  0.6667  0.6077

Main lines, in order of rising 2θ (2θ from 10° to 90°):
Position (°2θ), I (rel.), hkl
30.44, 28, 1 1 2
37.42, 28, 3 0 0
41.17, 17, 2 0 3
43.51, 100, 2 2 0
43.69, 20, 0 0 4
46.83, 9, 2 1 3
63.34, 11, 2 2 4
71.73, 12, 3 3 2
79.81, 11, 6 0 0
80.14, 12, 3 0 6



[9]
Structure and simulated X-ray powder pattern of Hg2P2H6O7 (a GGA-PBE-relaxed structure; λ = 1.5418 Å (Cu Kα)).
Peak positions follow from Bragg's law for the DFT cell and can differ from measured ones.

Cell and atoms:
abc: 7.478 7.845 9.274
angles: 80.46 67.81 74.07
Space group P-1 (No. 2)
Asymmetric unit:
Hg  0.209  0.088  0.242
Hg  0.281  0.253  0.608
P  0.214  0.707  0.527
P  0.319  0.845  0.755
H  0.161  0.799  0.007
H  0.167  0.516  0.267
H  0.178  0.445  0.906
H  0.182  0.515  0.182
H  0.220  0.363  0.947
H  0.330  0.017  0.071
O  0.007  0.211  0.452
O  0.184  0.036  0.762
O  0.226  0.716  0.701
O  0.274  0.510  0.496
O  0.294  0.767  0.930
O  0.356  0.810  0.407
O  0.464  0.173  0.336

Main lines, in order of rising 2θ (2θ from 10° to 90°):
Position (°2θ), I (rel.), hkl
10.33, 100, 0 0 1
11.76, 55, 0 1 0
19.62, 26, 1 -1 0
20.32, 46, 1 0 2
21.49, 36, 1 1 -1
23.17, 58, 0 1 2
26.50, 89, 2 0 0
26.61, 53, 2 1 2
38.21, 25, 3 0 2
38.31, 28, 1 0 -3



[10]
Structure and simulated X-ray powder pattern of V3AsC (a GGA-PBE-relaxed structure; λ = 1.5418 Å (Cu Kα)).
Peak positions follow from Bragg's law for the DFT cell and can differ from measured ones.

Cell and atoms:
abc: 3.119 10.164 7.691
angles: 90.00 90.00 90.00
Space group Cmcm (No. 63)
Asymmetric unit:
V  0.000  0.045  0.250
V  0.000  0.373  0.051
As  0.000  0.258  0.750
C  0.000  0.000  0.000

Main lines, in order of rising 2θ (2θ from 10° to 90°):
Position (°2θ), I (rel.), hkl
38.19, 54, 1 1 2
39.26, 50, 1 3 0
39.36, 42, 0 2 3
41.05, 100, 1 3 1
42.65, 67, 0 4 2
46.73, 55, 1 1 3
47.27, 24, 0 0 4
59.25, 24, 2 0 0
74.22, 28, 1 3 5
75.71, 23, 2 4 2



Copy entry 2 word for word.
Structure and simulated X-ray powder pattern of AsS (a GGA-PBE-relaxed structure; λ = 1.5418 Å (Cu Kα)).
Peak positions follow from Bragg's law for the DFT cell and can differ from measured ones.

Cell and atoms:
abc: 8.457 10.318 19.362
angles: 92.13 91.60 107.01
Space group P1 (No. 1)
Asymmetric unit:
As  0.000  0.000  0.000
As  0.001  0.344  0.715
As  0.016  0.860  0.794
As  0.206  0.679  0.489
As  0.240  0.205  0.031
As  0.299  0.282  0.514
As  0.311  0.803  0.980
As  0.461  0.128  0.229
As  0.489  0.642  0.291
As  0.538  0.495  0.498
As  0.546  0.013  0.336
As  0.564  0.505  0.186
As  0.565  0.992  0.023
As  0.574  0.975  0.156
As  0.585  0.483  0.365
As  0.711  0.329  0.229
As  0.727  0.855  0.288
As  0.753  0.146  0.727
As  0.774  0.657  0.774
As  0.911  0.501  0.638
As  0.921  0.018  0.873
As  0.923  0.477  0.820
As  0.926  0.973  0.688
As  0.967  0.472  0.510
S  0.042  0.291  0.478
S  0.078  0.823  0.031
S  0.151  0.789  0.588
S  0.161  0.121  0.677
S  0.161  0.667  0.667
S  0.165  0.186  0.851
S  0.171  0.595  0.844
S  0.184  0.313  0.937
S  0.310  0.390  0.171
S  0.319  0.849  0.336
S  0.320  0.332  0.339
S  0.334  0.189  0.407
S  0.335  0.797  0.159
S  0.368  0.688  0.073
S  0.455  0.667  0.537
S  0.494  0.178  0.987
S  0.589  0.120  0.629
S  0.596  0.639  0.861
S  0.653  0.271  0.566
S  0.672  0.767  0.943
S  0.698  0.341  0.035
S  0.799  0.281  0.119
S  0.857  0.698  0.430
S  0.889  0.870  0.385

Main lines, in order of rising 2θ (2θ from 10° to 90°):
Position (°2θ), I (rel.), hkl
10.27, 30, 0 1 1
11.70, 100, 1 0 -1
12.04, 91, 1 0 1
14.00, 24, 1 0 -2
15.07, 27, -1 1 2
24.00, 40, 2 -2 0
25.99, 23, 1 -1 5
27.73, 27, -2 2 3
32.60, 33, 2 2 -1
36.97, 25, -2 2 6